# Na3BiRh2O6
Calculated powder X-ray diffraction pattern, Cu Kα (weighted mean of Kα1 and Kα2). Input: the PBE geometry in Alexandria.

Top 10 peaks for 10 to 90 degrees two-theta, by angle:
d/Å	2θ (°)	I_rel	h k l
5.505	16.10	100	0 0 1
2.773	32.28	46	2 0 -1
2.752	32.53	21	0 0 2
2.663	33.66	57	2 0 0
2.325	38.73	84	1 3 1
2.142	42.20	19	1 3 -2
1.808	50.49	18	1 3 2
1.664	55.19	28	2 0 2
1.624	56.68	26	3 3 -1
1.558	59.33	19	3 3 0

Lattice parameters (Å, degrees): 5.6208 9.7539 5.8147 90.00 108.79 90.00
Space group C2/m (No. 12)
Asymmetric unit:
Na  0.0000  0.0000  0.0000 (multiplicity 2)
Na  0.0000  0.3294  0.0000 (multiplicity 4)
Bi  0.0000  0.5000  0.5000 (multiplicity 2)
Rh  0.0000  0.1666  0.5000 (multiplicity 4)
O  0.2091  0.0000  0.7159 (multiplicity 4)
O  0.2482  0.1818  0.2878 (multiplicity 8)

# NaBiRu2O8
Calculated powder X-ray diffraction pattern, Cu Kα (weighted mean of Kα1 and Kα2). Input: the PBE geometry in Alexandria.

Top 10 peaks for 10 to 90 degrees two-theta, by angle:
d/Å	2θ (°)	I_rel	h k l
8.074	10.96	28	0 0 3
4.531	19.59	37	1 0 1
3.670	24.25	100	1 0 4
3.341	26.68	24	0 1 5
2.663	33.65	44	1 1 0
2.531	35.47	40	0 1 8
2.155	41.91	22	0 2 4
1.675	54.79	21	2 1 4
1.609	57.27	21	1 1 12
1.511	61.36	16	1 2 8

Lattice parameters (Å, degrees): 5.3265 5.3265 24.2227 90.00 90.00 120.00
Space group R32 (No. 155, hexagonal axes)
Asymmetric unit:
Na  0.0000  0.0000  0.0000 (multiplicity 3)
Bi  0.0000  0.0000  0.5000 (multiplicity 3)
Ru  0.0000  0.0000  0.2559 (multiplicity 6)
O  0.0000  0.0000  0.3281 (multiplicity 6)
O  0.0042  0.3177  0.7720 (multiplicity 18)

# NaScBi2O8
Calculated powder X-ray diffraction pattern, Cu Kα (weighted mean of Kα1 and Kα2). Input: the PBE geometry in Alexandria.

Top 10 peaks for 10 to 90 degrees two-theta, by angle:
d/Å	2θ (°)	I_rel	h k l
6.698	13.22	100	0 0 1
5.032	17.63	18	1 0 0
4.023	22.10	44	0 1 1
2.905	30.78	47	1 1 0
2.788	32.10	20	0 1 2
2.665	33.63	41	2 -1 1
2.355	38.21	15	2 0 1
2.195	41.13	27	2 -1 2
2.041	44.39	20	0 1 3
1.448	64.35	14	1 2 3

Lattice parameters (Å, degrees): 5.8099 5.8099 6.6985 90.00 90.00 120.00
Space group P-3 (No. 147)
Asymmetric unit:
Na  0.0000  0.0000  0.0000 (multiplicity 1)
Sc  0.0000  0.0000  0.5000 (multiplicity 1)
Bi  0.3333  0.6667  0.4346 (multiplicity 2)
O  0.0500  0.3506  0.6411 (multiplicity 6)
O  0.3333  0.6667  0.1180 (multiplicity 2)

# NaSrSnBiO6
Calculated powder X-ray diffraction pattern, Cu Kα (weighted mean of Kα1 and Kα2). Input: the PBE geometry in Alexandria.

Top 10 peaks for 10 to 90 degrees two-theta, by angle:
d/Å	2θ (°)	I_rel	h k l
4.810	18.44	14	1 1 1
4.166	21.33	44	2 0 0
2.946	30.34	100	2 2 0
2.083	43.44	33	4 0 0
1.863	48.89	20	4 2 0
1.701	53.91	42	4 2 2
1.473	63.12	21	4 4 0
1.389	67.44	10	6 0 0
1.317	71.63	19	6 2 0
1.113	87.64	23	6 4 2

Lattice parameters (Å, degrees): 8.3318 8.3318 8.3318 90.00 90.00 90.00
Space group F-43m (No. 216)
Asymmetric unit:
Na  0.0000  0.0000  0.0000 (multiplicity 4)
Sr  0.0000  0.0000  0.5000 (multiplicity 4)
Sn  0.2500  0.2500  0.7500 (multiplicity 4)
Bi  0.2500  0.2500  0.2500 (multiplicity 4)
O  0.0032  0.2500  0.7500 (multiplicity 24)

# Na3Tb3BiO8
Calculated powder X-ray diffraction pattern, Cu Kα (weighted mean of Kα1 and Kα2). Input: the PBE geometry in Alexandria.

Top 10 peaks for 10 to 90 degrees two-theta, by angle:
d/Å	2θ (°)	I_rel	h k l
5.636	15.72	100	0 0 3
2.951	30.29	53	0 2 1
2.823	31.70	67	0 0 6
2.445	36.76	67	0 2 4
2.243	40.21	22	2 0 5
1.881	48.40	20	0 2 7
1.730	52.91	23	2 2 0
1.727	53.02	21	2 0 8
1.654	55.56	23	2 2 3
1.475	63.03	24	2 2 6

Lattice parameters (Å, degrees): 6.9214 6.9214 16.9069 90.00 90.00 120.00
Space group R-3m (No. 166, hexagonal axes)
Asymmetric unit:
Na  0.0000  0.5000  0.0000 (multiplicity 9)
Tb  0.0000  0.5000  0.5000 (multiplicity 9)
Bi  0.0000  0.0000  0.5000 (multiplicity 3)
O  0.0000  0.0000  0.2352 (multiplicity 6)
O  0.0081  0.5041  0.2356 (multiplicity 18)

# Na2ThBiO6
Calculated powder X-ray diffraction pattern, Cu Kα (weighted mean of Kα1 and Kα2). Input: the PBE geometry in Alexandria.

Top 10 peaks for 10 to 90 degrees two-theta, by angle:
d/Å	2θ (°)	I_rel	h k l
4.229	21.01	95	1 1 -1
4.197	21.17	46	0 0 2
3.028	29.50	26	0 2 0
2.979	30.00	100	1 1 -3
2.955	30.25	23	2 0 -2
2.115	42.76	26	2 2 -2
1.888	48.19	24	2 2 -4
1.880	48.42	22	1 1 3
1.739	52.65	23	1 3 -3
1.712	53.52	19	3 1 -1

Lattice parameters (Å, degrees): 5.9092 6.0556 10.2527 90.00 125.05 90.00
Space group P2_1/c (No. 14)
Asymmetric unit:
Na  0.2445  0.0388  0.2527 (multiplicity 4)
Th  0.5000  0.0000  0.0000 (multiplicity 2)
Bi  0.0000  0.0000  0.5000 (multiplicity 2)
O  0.1276  0.2100  0.9406 (multiplicity 4)
O  0.2403  0.6933  0.9468 (multiplicity 4)
O  0.3511  0.0482  0.7409 (multiplicity 4)

# NaTi2Bi2O7
Calculated powder X-ray diffraction pattern, Cu Kα (weighted mean of Kα1 and Kα2). Input: the PBE geometry in Alexandria.

Top 10 peaks for 10 to 90 degrees two-theta, by angle:
d/Å	2θ (°)	I_rel	h k l
4.178	21.27	75	0 3 1
3.289	27.11	25	1 1 0
3.142	28.41	100	0 5 1
2.956	30.24	52	1 3 0
2.860	31.27	31	1 0 1
2.772	32.29	41	0 0 2
2.740	32.69	73	1 2 1
2.512	35.74	26	1 5 0
2.022	44.82	39	1 3 2
1.831	49.80	31	1 8 1

Lattice parameters (Å, degrees): 3.3389 19.0657 5.5443 90.00 90.00 90.00
Space group Imm2 (No. 44)
Asymmetric unit:
Na  0.0000  0.0000  0.0000 (multiplicity 2)
Ti  0.0000  0.4073  0.0299 (multiplicity 4)
Bi  0.0000  0.3062  0.5488 (multiplicity 4)
O  0.0000  0.1161  0.6696 (multiplicity 4)
O  0.0000  0.2856  0.9344 (multiplicity 4)
O  0.0000  0.4187  0.7081 (multiplicity 4)
O  0.0000  0.5000  0.1401 (multiplicity 2)

# NaTi2BiO6
Calculated powder X-ray diffraction pattern, Cu Kα (weighted mean of Kα1 and Kα2). Input: the PBE geometry in Alexandria.

Top 10 peaks for 10 to 90 degrees two-theta, by angle:
d/Å	2θ (°)	I_rel	h k l
7.158	12.36	97	1 1 0
5.199	17.05	38	1 1 -1
5.142	17.24	28	2 0 0
4.042	21.99	29	1 1 1
3.462	25.73	100	2 2 -1
3.242	27.51	55	3 1 0
2.918	30.64	34	1 3 -1
2.907	30.76	37	0 0 2
2.754	32.51	38	2 2 1
2.406	37.37	31	4 0 -2

Lattice parameters (Å, degrees): 11.0331 9.9697 6.2362 90.00 111.22 90.00
Space group C2/c (No. 15)
Asymmetric unit:
Na  0.0000  0.2177  0.2500 (multiplicity 4)
Ti  0.1979  0.0868  0.7325 (multiplicity 8)
Bi  0.0000  0.3987  0.7500 (multiplicity 4)
O  0.1231  0.2493  0.6657 (multiplicity 8)
O  0.1254  0.3994  0.1497 (multiplicity 8)
O  0.1462  0.0014  0.4479 (multiplicity 8)

# NaTl2BiO6
Calculated powder X-ray diffraction pattern, Cu Kα (weighted mean of Kα1 and Kα2). Input: the PBE geometry in Alexandria.

Top 10 peaks for 10 to 90 degrees two-theta, by angle:
d/Å	2θ (°)	I_rel	h k l
4.770	18.60	34	1 0 1
4.201	21.15	41	0 1 2
3.050	29.28	99	1 0 4
2.897	30.86	100	1 1 0
2.522	35.60	17	2 -1 3
2.101	43.06	40	0 2 4
1.919	47.38	43	2 -1 6
1.701	53.91	40	3 -1 4
1.673	54.89	29	3 0 0
1.470	63.27	19	1 0 10

Lattice parameters (Å, degrees): 5.7945 5.7945 15.3665 90.00 90.00 120.00
Space group R3 (No. 146, hexagonal axes)
Asymmetric unit:
Na  0.0000  0.0000  0.0000 (multiplicity 3)
Tl  0.0000  0.0000  0.2771 (multiplicity 3)
Tl  0.0000  0.0000  0.7806 (multiplicity 3)
Bi  0.0000  0.0000  0.4873 (multiplicity 3)
O  0.0093  0.7235  0.3942 (multiplicity 9)
O  0.0313  0.3410  0.5540 (multiplicity 9)

Q: What is the formula in the fifth record?
A: Na3Tb3BiO8